NaPtSeO5: calculated powder XRD pattern (Cu Kα (weighted mean of Kα1 and Kα2)), based on the GGA-PBE geometry in Alexandria.

Atomic structure:
```
data_NaPtSeO5
_cell_length_a 6.074
_cell_length_b 6.074
_cell_length_c 6.786
_cell_angle_alpha 95.42
_cell_angle_beta 95.42
_cell_angle_gamma 100.01
_symmetry_space_group_name_H-M 'P 1'
_symmetry_Int_Tables_number 1
_symmetry_space_group_name_Hall 'P 1'
loop_
_atom_site_label
_atom_site_type_symbol
_atom_site_fract_x
_atom_site_fract_y
_atom_site_fract_z
Na1 Na 0.135 0.865 0.750
Na2 Na 0.865 0.135 0.250
Pt1 Pt 0.500 0.500 0.000
Pt2 Pt 0.500 0.500 0.500
Se1 Se 0.219 0.781 0.250
Se2 Se 0.781 0.219 0.750
O1 O 0.009 0.771 0.075
O2 O 0.196 0.529 0.357
O3 O 0.229 0.991 0.425
O4 O 0.402 0.598 0.750
O5 O 0.471 0.804 0.143
O6 O 0.529 0.196 0.857
O7 O 0.598 0.402 0.250
O8 O 0.771 0.009 0.575
O9 O 0.804 0.471 0.643
O10 O 0.991 0.229 0.925
```

Main lines, by intensity (2θ from 10° to 90°):
Position (°2θ), d/Å, I_rel
14.9, 5.943, 100
23.0, 3.862, 68
32.9, 2.722, 40
31.1, 2.879, 39
29.0, 3.075, 37
38.1, 2.362, 23
42.9, 2.110, 21
32.1, 2.790, 17
42.1, 2.146, 17
45.8, 1.981, 16
36.2, 2.481, 13
18.8, 4.723, 12